For Dy2Si4W3, a PBE-relaxed structure gives the theoretical XRD peak list in this record (λ = 1.5418 Å (Cu Kα)).
Neutral-atom scattering factors, no anomalous dispersion.

Peak list (10 most intense, 2θ = 10–90°, low angle first)
| (hkl) | Position (°2θ) | I/Imax |
| --- | --- | --- |
| 1 1 1 | 25.96 | 40.2 |
| 0 2 1 | 29.34 | 60.0 |
| 1 1 -2 | 29.76 | 44.9 |
| 2 0 -2 | 32.33 | 30.1 |
| 2 2 -1 | 37.33 | 100.0 |
| 1 1 2 | 37.48 | 96.4 |
| 2 2 0 | 38.10 | 39.5 |
| 0 3 1 | 41.64 | 39.3 |
| 1 1 -3 | 42.11 | 49.9 |
| 4 2 -1 | 60.56 | 26.1 |

Structural model:
Cell: 6.8380 6.9151 6.7718 Å, 90.00 108.96 90.00°
Space group P2_1/c (No. 14)
Unique sites:
1 Dy 0.1896 0.1697 0.0612 (multiplicity 4)
2 Si 0.0895 0.5453 0.8655 (multiplicity 4)
3 Si 0.4960 0.6319 0.6271 (multiplicity 4)
4 W 0.2510 0.6599 0.2476 (multiplicity 4)
5 W 0.5000 0.0000 0.5000 (multiplicity 2)